Entry 1:
Computed powder XRD pattern
Compound: Ce3AlIr4
Radiation: a wavelength of 1.5418 Å
Structure: DFT lattice parameters and positions (PBE)

Structural model:
Cell lengths 5.7935, 9.0574, 6.0502 Å; angles 90.00, 90.00, 90.00 degrees
Space group Imm2 (No. 44)
Inequivalent atoms, fractional coordinates:
Ce  0.0000  0.0000  0.0000 (multiplicity 2)
Ce  0.0000  0.2829  0.7384 (multiplicity 4)
Al  0.0000  0.5000  0.3228 (multiplicity 2)
Ir  0.0000  0.2350  0.2543 (multiplicity 4)
Ir  0.2371  0.0000  0.4951 (multiplicity 4)

Most intense lines, 2θ = 10–90°, low angle first:
hkl 0 1 1, 2θ = 17.6°, I 17; hkl 0 2 2, 2θ = 35.7°, I 100; hkl 2 2 0, 2θ = 36.8°, I 35; hkl 0 4 0, 2θ = 39.8°, I 24; hkl 2 0 2, 2θ = 43.2°, I 26; hkl 2 3 1, 2θ = 45.9°, I 19

=====

Entry 2:
Computed powder XRD pattern
Compound: Ce2Al9Ir3
Radiation: a wavelength of 1.5418 Å
Structure: DFT lattice parameters and positions (PBE)

Structural model:
Cell lengths 13.1796, 7.6754, 9.4624 Å; angles 90.00, 90.00, 90.00 degrees
Space group Cmcm (No. 63)
Inequivalent atoms, fractional coordinates:
Ce  0.1627  0.1661  0.2500 (multiplicity 8)
Al  0.0000  0.1300  0.7500 (multiplicity 4)
Al  0.0000  0.3345  0.0513 (multiplicity 8)
Al  0.1033  0.4452  0.7500 (multiplicity 8)
Al  0.1664  0.1692  0.5751 (multiplicity 16)
Ir  0.0000  0.0000  0.0000 (multiplicity 4)
Ir  0.1719  0.5000  0.0000 (multiplicity 8)

Most intense lines, 2θ = 10–90°, low angle first:
hkl 3 1 0, 2θ = 23.3°, I 36; hkl 0 2 2, 2θ = 30.0°, I 50; hkl 3 1 2, 2θ = 30.1°, I 100; hkl 3 3 0, 2θ = 40.8°, I 58; hkl 0 2 4, 2θ = 45.1°, I 30; hkl 3 3 4, 2θ = 57.0°, I 30

=====

Entry 3:
Computed powder XRD pattern
Compound: LiCeAlIr
Radiation: a wavelength of 1.5418 Å
Structure: DFT lattice parameters and positions (PBE)

Structural model:
Cell lengths 6.6048, 6.6048, 6.6048 Å; angles 90.00, 90.00, 90.00 degrees
Space group F-43m (No. 216)
Inequivalent atoms, fractional coordinates:
Li  0.0000  0.0000  0.0000 (multiplicity 4)
Ce  0.2500  0.2500  0.2500 (multiplicity 4)
Al  0.2500  0.2500  0.7500 (multiplicity 4)
Ir  0.0000  0.0000  0.5000 (multiplicity 4)

Most intense lines, 2θ = 10–90°, low angle first:
hkl 1 1 1, 2θ = 23.3°, I 86; hkl 2 2 0, 2θ = 38.6°, I 100; hkl 3 1 1, 2θ = 45.6°, I 45; hkl 4 0 0, 2θ = 55.7°, I 17; hkl 3 3 1, 2θ = 61.2°, I 19; hkl 4 2 2, 2θ = 69.8°, I 35

=====

Entry 4:
Computed powder XRD pattern
Compound: Ce2Al4IrPt3
Radiation: a wavelength of 1.5418 Å
Structure: DFT lattice parameters and positions (PBE)

Structural model:
Cell lengths 4.2461, 4.2461, 10.4288 Å; angles 90.00, 90.00, 90.00 degrees
Space group P-4m2 (No. 115)
Inequivalent atoms, fractional coordinates:
Ce  0.0000  0.5000  0.2472 (multiplicity 2)
Al  0.0000  0.0000  0.5000 (multiplicity 1)
Al  0.0000  0.5000  0.8733 (multiplicity 2)
Al  0.5000  0.5000  0.5000 (multiplicity 1)
Ir  0.5000  0.5000  0.0000 (multiplicity 1)
Pt  0.0000  0.0000  0.0000 (multiplicity 1)
Pt  0.0000  0.5000  0.6349 (multiplicity 2)

Most intense lines, 2θ = 10–90°, low angle first:
hkl 0 0 3, 2θ = 25.6°, I 30; hkl 1 0 2, 2θ = 27.1°, I 35; hkl 1 1 1, 2θ = 31.0°, I 63; hkl 1 0 3, 2θ = 33.3°, I 51; hkl 1 1 2, 2θ = 34.5°, I 100; hkl 2 0 0, 2θ = 42.6°, I 61

=====

Entry 5:
Computed powder XRD pattern
Compound: Ce2Al2Si4Ir
Radiation: a wavelength of 1.5418 Å
Structure: DFT lattice parameters and positions (PBE)

Structural model:
Cell lengths 6.1556, 6.1556, 8.5266 Å; angles 90.00, 90.00, 90.00 degrees
Space group I4/mmm (No. 139)
Inequivalent atoms, fractional coordinates:
Ce  0.0000  0.5000  0.2500 (multiplicity 4)
Al  0.0000  0.0000  0.2077 (multiplicity 4)
Si  0.2179  0.2179  0.0000 (multiplicity 8)
Ir  0.0000  0.0000  0.5000 (multiplicity 2)

Most intense lines, 2θ = 10–90°, low angle first:
hkl 1 0 1, 2θ = 17.8°, I 40; hkl 2 0 0, 2θ = 29.0°, I 49; hkl 1 1 2, 2θ = 29.3°, I 100; hkl 2 1 1, 2θ = 34.2°, I 28; hkl 2 2 0, 2θ = 41.5°, I 41; hkl 3 1 2, 2θ = 51.6°, I 39

=====

Entry 6:
Computed powder XRD pattern
Compound: Ce2AlSi2Ir5
Radiation: a wavelength of 1.5418 Å
Structure: DFT lattice parameters and positions (PBE)

Structural model:
Cell lengths 9.7184, 9.7184, 3.5988 Å; angles 90.00, 90.00, 90.00 degrees
Space group P4/mbm (No. 127)
Inequivalent atoms, fractional coordinates:
Ce  0.1771  0.3229  0.0000 (multiplicity 4)
Al  0.0000  0.0000  0.0000 (multiplicity 2)
Si  0.1226  0.6226  0.0000 (multiplicity 4)
Ir  0.0000  0.5000  0.5000 (multiplicity 2)
Ir  0.0664  0.7877  0.5000 (multiplicity 8)

Most intense lines, 2θ = 10–90°, low angle first:
hkl 0 0 1, 2θ = 24.7°, I 41; hkl 2 1 1, 2θ = 32.3°, I 66; hkl 4 1 0, 2θ = 38.2°, I 87; hkl 3 1 1, 2θ = 38.5°, I 100; hkl 3 2 1, 2θ = 41.9°, I 53; hkl 4 1 2, 2θ = 65.2°, I 37